# 1
AgC4NCl2: computed PXRD pattern (Cu Kα (λ = 1.5418 Å)), based on the PBE geometry in the Materials Project.

Cell and atoms:
Unit cell a=7.1229 b=7.4661 c=14.5667 alpha=90.00 beta=90.00 gamma=90.00
Space group Immm (No. 71)
Unique sites:
Ag1 0.2485 0.0000 0.0000
C1 0.0000 0.4050 0.2539
C2 0.1786 0.5000 0.1659
N1 0.0000 0.5000 0.1403
Cl1 0.0000 0.0000 0.1210
Cl2 0.0000 0.2680 0.5000

Most intense lines, 2θ = 15–90°, sorted by position:
4.070 Å, 21.8°, intensity 1000; 4.012 Å, 22.2°, intensity 413; 3.733 Å, 23.8°, intensity 639; 3.224 Å, 27.7°, intensity 408; 3.139 Å, 28.4°, intensity 432; 2.680 Å, 33.4°, intensity 735; 2.429 Å, 37.0°, intensity 850; 2.103 Å, 43.0°, intensity 628

=====

# 2
AgC8S4N4Cl: computed PXRD pattern (Cu Kα (λ = 1.5418 Å)), based on the PBE geometry in the Materials Project.

Cell and atoms:
Unit cell a=13.6134 b=13.6134 c=5.5591 alpha=90.00 beta=90.00 gamma=90.00
Space group I-4 (No. 82)
Unique sites:
Ag1 0.0000 0.0000 0.0000
C1 0.0700 0.7401 0.7860
C2 0.1364 0.8024 0.7039
S1 0.1155 0.2073 0.3804
N1 0.0052 0.6916 0.8733
Cl1 0.0000 0.5000 0.7500

Most intense lines, 2θ = 15–90°, sorted by position:
5.147 Å, 17.2°, intensity 323; 4.105 Å, 21.6°, intensity 1000; 3.515 Å, 25.3°, intensity 629; 3.209 Å, 27.8°, intensity 217; 3.123 Å, 28.6°, intensity 214; 3.044 Å, 29.3°, intensity 435; 2.445 Å, 36.8°, intensity 261; 2.335 Å, 38.6°, intensity 221

=====

# 3
AgC8S4N4Cl: computed PXRD pattern (Cu Kα (λ = 1.5418 Å)), based on the PBE geometry in the Materials Project.

Cell and atoms:
Unit cell a=13.6527 b=13.6527 c=5.1114 alpha=90.00 beta=90.00 gamma=90.00
Space group I-4 (No. 82)
Unique sites:
Ag1 0.0000 0.0000 0.0000
C1 0.0641 0.2579 0.8058
C2 0.1249 0.1849 0.7560
S1 0.0762 0.8373 0.2397
N1 0.0003 0.3133 0.8726
Cl1 0.0000 0.5000 0.7500

Most intense lines, 2θ = 15–90°, sorted by position:
4.787 Å, 18.5°, intensity 810; 3.919 Å, 22.7°, intensity 1000; 3.399 Å, 26.2°, intensity 323; 3.053 Å, 29.3°, intensity 301; 3.043 Å, 29.4°, intensity 332; 2.779 Å, 32.2°, intensity 344; 2.409 Å, 37.3°, intensity 472; 2.199 Å, 41.0°, intensity 394

=====

# 4
AgW6CCl18: computed PXRD pattern (Cu Kα (λ = 1.5418 Å)), based on the PBE geometry in the Materials Project.

Cell and atoms:
Unit cell a=9.0906 b=9.0906 c=17.7998 alpha=90.00 beta=90.00 gamma=120.00
Space group P6_3/m (No. 176)
Unique sites:
Ag1 0.0000 0.0000 0.0000
W1 0.1775 0.6951 0.1654
C1 0.3333 0.6667 0.2500
Cl1 0.0403 0.2677 0.5995
Cl2 0.0597 0.4873 0.7500
Cl3 0.0846 0.2770 0.2500
Cl4 0.1074 0.4754 0.0738

Most intense lines, 2θ = 15–90°, sorted by position:
5.897 Å, 15.0°, intensity 575; 4.404 Å, 20.2°, intensity 377; 3.244 Å, 27.5°, intensity 498; 2.974 Å, 30.0°, intensity 477; 2.254 Å, 40.0°, intensity 373; 2.167 Å, 41.7°, intensity 331; 2.101 Å, 43.1°, intensity 1000; 1.916 Å, 47.5°, intensity 333

=====

# 5
CoAg3C6N6: computed PXRD pattern (Cu Kα (λ = 1.5418 Å)), based on the PBE geometry in the Materials Project.

Cell and atoms:
Unit cell a=7.4890 b=7.4890 c=6.8058 alpha=90.00 beta=90.00 gamma=120.00
Space group P-31m (No. 162)
Unique sites:
Co1 0.0000 0.0000 0.0000
Ag1 0.0000 0.5000 0.5000
C1 0.0000 0.2010 0.1632
N1 0.0000 0.3210 0.2731

Most intense lines, 2θ = 15–90°, sorted by position:
4.695 Å, 18.9°, intensity 1000; 3.281 Å, 27.2°, intensity 453; 3.243 Å, 27.5°, intensity 742; 2.927 Å, 30.5°, intensity 628; 2.348 Å, 38.3°, intensity 718; 2.306 Å, 39.1°, intensity 225; 1.640 Å, 56.1°, intensity 260; 1.507 Å, 61.6°, intensity 157